(1)
Structure and simulated X-ray diffraction stick pattern of Mg16Si7HO32 (a crystal structure in the Materials Project, relaxed with PBE; Cu Kα (λ = 1.5418 Å)).
Peak positions follow from Bragg's law for the DFT cell and can differ from measured ones.

Structure:
Cell: 5.806 8.441 11.676 Å, 89.74 89.97 89.94°
Fractional coordinates of all 56 atoms:
Mg1 0.000 0.000 0.000
Mg2 0.001 0.005 0.501
Mg3 0.001 0.973 0.753
Mg4 0.241 0.264 0.634
Mg5 0.245 0.255 0.876
Mg6 0.251 0.747 0.125
Mg7 0.254 0.755 0.372
Mg8 0.501 0.537 0.754
Mg9 0.502 0.516 0.503
Mg10 0.503 0.468 0.250
Mg11 0.503 0.508 0.999
Mg12 0.748 0.756 0.372
Mg13 0.751 0.749 0.125
Mg14 0.760 0.255 0.876
Mg15 0.766 0.268 0.635
Mg16 0.998 0.052 0.255
Si1 0.002 0.388 0.121
Si2 0.002 0.392 0.383
Si3 0.002 0.620 0.878
Si4 0.002 0.624 0.620
Si5 0.499 0.113 0.363
Si6 0.499 0.886 0.624
Si7 0.501 0.892 0.884
H1 0.518 0.132 0.548
O1 0.001 0.262 0.493
O2 0.001 0.297 0.254
O3 0.001 0.744 0.986
O4 0.001 0.752 0.511
O5 0.002 0.219 0.753
O6 0.002 0.723 0.748
O7 0.002 0.775 0.251
O8 0.003 0.259 0.014
O9 0.210 0.981 0.134
O10 0.238 0.514 0.873
O11 0.239 0.497 0.122
O12 0.239 0.513 0.624
O13 0.240 0.500 0.385
O14 0.261 0.006 0.379
O15 0.262 0.997 0.879
O16 0.265 0.999 0.624
O17 0.499 0.239 0.265
O18 0.500 0.226 0.498
O19 0.501 0.761 0.515
O20 0.501 0.761 0.990
O21 0.501 0.791 0.753
O22 0.502 0.292 0.748
O23 0.502 0.715 0.252
O24 0.503 0.277 0.978
O25 0.731 0.002 0.623
O26 0.738 0.007 0.379
O27 0.741 0.997 0.878
O28 0.764 0.500 0.384
O29 0.765 0.514 0.624
O30 0.766 0.498 0.122
O31 0.766 0.513 0.873
O32 0.788 0.983 0.132

Peak list (10 most intense, 10° ≤ 2θ ≤ 80°, in order of rising 2θ)
two_theta, Rel. int.
27.21, 39
32.77, 30
33.53, 64
36.03, 71
42.85, 43
43.99, 100
62.95, 28
63.21, 57
63.77, 32
64.16, 33

---

(2)
Structure and simulated X-ray diffraction stick pattern of MgSi3HO12 (a crystal structure in the Materials Project, relaxed with PBE; Cu Kα (λ = 1.5418 Å)).
Peak positions follow from Bragg's law for the DFT cell and can differ from measured ones.

Structure:
Cell: 8.501 6.874 9.353 Å, 90.00 101.55 90.00°
Fractional coordinates of all 34 atoms:
Mg1 0.000 0.000 0.000
Mg2 0.000 0.500 0.000
Si1 0.120 0.250 0.293
Si2 0.322 0.750 0.974
Si3 0.425 0.250 0.744
Si4 0.575 0.750 0.256
Si5 0.678 0.250 0.026
Si6 0.880 0.750 0.707
H1 0.276 0.750 0.360
H2 0.724 0.250 0.640
O1 0.070 0.250 0.116
O2 0.073 0.032 0.345
O3 0.073 0.468 0.345
O4 0.226 0.554 0.998
O5 0.226 0.946 0.998
O6 0.236 0.250 0.695
O7 0.304 0.250 0.392
O8 0.334 0.750 0.800
O9 0.394 0.750 0.409
O10 0.465 0.585 0.341
O11 0.465 0.915 0.341
O12 0.500 0.250 0.916
O13 0.500 0.750 0.084
O14 0.535 0.085 0.659
O15 0.535 0.415 0.659
O16 0.606 0.250 0.591
O17 0.666 0.250 0.200
O18 0.696 0.750 0.608
O19 0.764 0.750 0.305
O20 0.774 0.054 0.002
O21 0.774 0.446 0.002
O22 0.927 0.532 0.655
O23 0.927 0.968 0.655
O24 0.930 0.750 0.884

Peak list (10 most intense, 10° ≤ 2θ ≤ 80°, in order of rising 2θ)
two_theta, Rel. int.
18.23, 100
23.98, 16
25.00, 16
25.21, 16
25.92, 10
27.30, 15
28.09, 15
29.24, 28
31.77, 10
42.20, 9

---

(3)
Structure and simulated X-ray diffraction stick pattern of Sm4MgH4O8 (a crystal structure in the Materials Project, relaxed with PBE; Cu Kα (λ = 1.5418 Å)).
Peak positions follow from Bragg's law for the DFT cell and can differ from measured ones.

Structure:
Cell: 5.779 3.696 11.618 Å, 90.00 90.01 90.00°
Fractional coordinates of all 17 atoms:
Sm1 0.000 0.000 0.000
Sm2 0.144 0.500 0.368
Sm3 0.507 0.500 0.822
Sm4 0.667 0.000 0.528
Mg1 0.562 0.000 0.230
H1 0.239 0.500 0.603
H2 0.287 0.500 0.142
H3 0.887 0.000 0.749
H4 0.942 0.000 0.241
O1 0.113 0.500 0.147
O2 0.298 0.000 0.879
O3 0.382 0.000 0.384
O4 0.409 0.500 0.609
O5 0.723 0.000 0.729
O6 0.827 0.500 0.929
O7 0.880 0.000 0.320
O8 0.899 0.500 0.517

Peak list (10 most intense, 10° ≤ 2θ ≤ 80°, in order of rising 2θ)
two_theta, Rel. int.
15.25, 43
17.14, 66
21.69, 35
27.73, 65
28.64, 59
29.70, 100
31.91, 25
39.46, 24
42.63, 26
46.26, 33

---

(4)
Structure and simulated X-ray diffraction stick pattern of Sr2MgH8O6 (a crystal structure in the Materials Project, relaxed with PBE; Cu Kα (λ = 1.5418 Å)).
Peak positions follow from Bragg's law for the DFT cell and can differ from measured ones.

Structure:
Cell: 3.865 7.817 8.084 Å, 98.48 90.11 90.11°
Fractional coordinates of all 17 atoms:
Sr1 0.000 0.000 0.000
Sr2 0.003 0.517 0.528
Mg1 0.499 0.626 0.141
H1 0.205 0.306 0.840
H2 0.209 0.177 0.359
H3 0.501 0.288 0.051
H4 0.501 0.750 0.853
H5 0.504 0.234 0.571
H6 0.504 0.817 0.591
H7 0.794 0.177 0.359
H8 0.797 0.306 0.840
O1 0.001 0.121 0.295
O2 0.001 0.349 0.780
O3 0.499 0.792 0.978
O4 0.501 0.202 0.949
O5 0.502 0.290 0.472
O6 0.505 0.710 0.641

Peak list (10 most intense, 10° ≤ 2θ ≤ 80°, in order of rising 2θ)
two_theta, Rel. int.
14.72, 100
17.09, 68
22.24, 41
23.01, 26
27.43, 40
28.81, 44
32.77, 50
33.92, 20
37.89, 21
47.02, 18

---

(5)
Structure and simulated X-ray diffraction stick pattern of Sr2MgH8O6 (a crystal structure in the Materials Project, relaxed with PBE; Cu Kα (λ = 1.5418 Å)).
Peak positions follow from Bragg's law for the DFT cell and can differ from measured ones.

Structure:
Cell: 3.686 6.520 9.030 Å, 95.77 93.38 93.61°
Fractional coordinates of all 17 atoms:
Sr1 0.000 0.000 0.000
Sr2 0.039 0.362 0.339
Mg1 0.368 0.055 0.615
H1 0.216 0.545 0.031
H2 0.363 0.672 0.577
H3 0.434 0.673 0.861
H4 0.506 0.050 0.292
H5 0.545 0.275 0.853
H6 0.608 0.743 0.406
H7 0.792 0.534 0.030
H8 0.948 0.697 0.597
O1 0.003 0.458 0.068
O2 0.189 0.740 0.651
O3 0.485 0.126 0.835
O4 0.496 0.704 0.968
O5 0.514 0.127 0.203
O6 0.597 0.606 0.444

Peak list (10 most intense, 10° ≤ 2θ ≤ 80°, in order of rising 2θ)
two_theta, Rel. int.
16.03, 100
17.72, 23
22.92, 24
28.94, 24
29.90, 25
30.33, 22
33.68, 28
37.50, 30
40.15, 20
41.24, 22

---

(6)
Structure and simulated X-ray diffraction stick pattern of MgTeH12O9 (a crystal structure in the Materials Project, relaxed with PBE; Cu Kα (λ = 1.5418 Å)).
Peak positions follow from Bragg's law for the DFT cell and can differ from measured ones.

Structure:
Cell: 6.029 6.029 6.029 Å, 97.23 97.23 97.23°
Fractional coordinates of all 23 atoms:
Mg1 0.000 0.000 0.000
Te1 0.468 0.468 0.468
H1 0.049 0.969 0.459
H2 0.192 0.622 0.833
H3 0.269 0.879 0.369
H4 0.369 0.269 0.879
H5 0.459 0.049 0.969
H6 0.585 0.727 0.934
H7 0.622 0.833 0.192
H8 0.727 0.934 0.585
H9 0.833 0.192 0.622
H10 0.879 0.369 0.269
H11 0.934 0.585 0.727
H12 0.969 0.459 0.049
O1 0.041 0.663 0.865
O2 0.127 0.944 0.324
O3 0.324 0.127 0.944
O4 0.424 0.512 0.776
O5 0.512 0.776 0.424
O6 0.663 0.865 0.041
O7 0.776 0.424 0.512
O8 0.865 0.041 0.663
O9 0.944 0.324 0.127

Peak list (10 most intense, 10° ≤ 2θ ≤ 80°, in order of rising 2θ)
two_theta, Rel. int.
14.97, 56
19.62, 100
22.72, 66
24.77, 24
30.20, 46
31.80, 54
36.27, 38
46.38, 39
50.84, 33
53.60, 23